No. 1
This entry pairs a crystal structure of Pr3NdTe4 with its computed powder diffraction line list. Radiation: a wavelength of 1.5418 Å. Structure: a GGA-PBE-relaxed structure.
Intensities are scaled so that the largest is 100.

Crystal structure
```
Pr3NdTe4
1.0
4.4412 0.0000 0.0000
-2.2206 3.8462 0.0000
0.0000 0.0000 30.6731
Pr Nd Te
6 2 8
direct
0.0000 0.0000 0.0000 Pr
0.0000 0.0000 0.5000 Pr
0.3333 0.6667 0.1243 Pr
0.3333 0.6667 0.3757 Pr
0.6667 0.3333 0.6243 Pr
0.6667 0.3333 0.8757 Pr
0.3333 0.6667 0.7500 Nd
0.6667 0.3333 0.2500 Nd
0.0000 0.0000 0.1872 Te
0.0000 0.0000 0.3128 Te
0.0000 0.0000 0.6872 Te
0.0000 0.0000 0.8128 Te
0.3333 0.6667 0.5625 Te
0.3333 0.6667 0.9375 Te
0.6667 0.3333 0.0625 Te
0.6667 0.3333 0.4375 Te
```

Most intense lines, 5° ≤ 2θ ≤ 70°, by angle:
| 2theta | I/Imax |
| --- | --- |
| 25.92 | 21 |
| 27.37 | 100 |
| 29.05 | 82 |
| 37.50 | 39 |
| 39.93 | 38 |
| 40.63 | 81 |
| 49.68 | 19 |
| 64.18 | 41 |


No. 2
This entry pairs a crystal structure of Li3P2Pt with its computed powder diffraction line list. Radiation: a wavelength of 1.5418 Å. Structure: a GGA-PBE-relaxed structure.
Intensities are scaled so that the largest is 100.

Crystal structure
```
Li3P2Pt
1.0
7.0263 0.0000 0.0000
0.0000 7.3867 0.0000
-2.1887 0.0000 7.6762
Li P Pt
12 8 4
direct
0.1397 0.0636 0.4096 Li
0.1397 0.4364 0.9096 Li
0.1423 0.0674 0.9087 Li
0.1423 0.4326 0.4087 Li
0.2328 0.7451 0.6815 Li
0.2328 0.7549 0.1815 Li
0.7672 0.2451 0.8185 Li
0.7672 0.2549 0.3185 Li
0.8577 0.5674 0.5913 Li
0.8577 0.9326 0.0913 Li
0.8603 0.5636 0.0904 Li
0.8603 0.9364 0.5904 Li
0.9998 0.2487 0.1247 P
0.9998 0.2513 0.6247 P
0.0002 0.7487 0.3753 P
0.0002 0.7513 0.8753 P
0.4979 0.0018 0.6376 P
0.4979 0.4982 0.1376 P
0.5021 0.5018 0.8624 P
0.5021 0.9982 0.3624 P
0.3507 0.2452 0.2107 Pt
0.3507 0.2548 0.7107 Pt
0.6493 0.7452 0.2893 Pt
0.6493 0.7548 0.7893 Pt
```

Most intense lines, 5° ≤ 2θ ≤ 70°, by angle:
| 2theta | I/Imax |
| --- | --- |
| 13.10 | 47 |
| 17.79 | 100 |
| 23.17 | 35 |
| 23.30 | 36 |
| 24.10 | 38 |
| 29.06 | 43 |
| 32.18 | 25 |
| 33.72 | 53 |


No. 3
This entry pairs a crystal structure of Tb6PrSc3 with its computed powder diffraction line list. Radiation: a wavelength of 1.5418 Å. Structure: a GGA-PBE-relaxed structure.
Intensities are scaled so that the largest is 100.

Crystal structure
```
Tb6PrSc3
1.0
4.8282 2.7876 3.7902
-4.8282 2.7876 3.7902
0.0000 -5.5751 3.7902
Tb Pr Sc
6 1 3
direct
0.0000 0.3401 0.6599 Tb
0.1659 0.8341 0.5000 Tb
0.3401 0.6599 0.0000 Tb
0.5000 0.1659 0.8341 Tb
0.6599 0.0000 0.3401 Tb
0.8341 0.5000 0.1659 Tb
0.0000 0.0000 0.0000 Pr
0.2612 0.2612 0.2612 Sc
0.5000 0.5000 0.5000 Sc
0.7388 0.7388 0.7388 Sc
```

Most intense lines, 5° ≤ 2θ ≤ 70°, by angle:
| 2theta | I/Imax |
| --- | --- |
| 18.38 | 8 |
| 29.97 | 100 |
| 32.11 | 91 |
| 44.50 | 34 |
| 55.92 | 34 |
| 57.24 | 17 |
| 58.93 | 24 |
| 67.16 | 11 |


No. 4
This entry pairs a crystal structure of Sb with its computed powder diffraction line list. Radiation: a wavelength of 1.5418 Å. Structure: a GGA-PBE-relaxed structure.
Intensities are scaled so that the largest is 100.

Crystal structure
```
Sb
1.0
9.3486 0.0000 0.0000
-4.6743 8.0961 0.0000
0.0000 0.0000 6.3142
Sb
12
direct
0.0239 0.6656 0.2500 Sb
0.0263 0.3564 0.2500 Sb
0.3302 0.9737 0.2500 Sb
0.3344 0.3583 0.2500 Sb
0.3564 0.3302 0.7500 Sb
0.3583 0.0239 0.7500 Sb
0.6417 0.9761 0.2500 Sb
0.6436 0.6698 0.2500 Sb
0.6656 0.6417 0.7500 Sb
0.6698 0.0263 0.7500 Sb
0.9737 0.6436 0.7500 Sb
0.9761 0.3344 0.7500 Sb
```

Most intense lines, 5° ≤ 2θ ≤ 70°, by angle:
| 2theta | I/Imax |
| --- | --- |
| 18.99 | 100 |
| 28.27 | 53 |
| 33.20 | 90 |
| 34.28 | 45 |
| 44.15 | 81 |
| 48.46 | 15 |
| 66.98 | 17 |
| 68.91 | 21 |